(1)
Simulated X-ray powder pattern of Ca3NdMn4O12 for Cu Kα X-rays, from a DFT-relaxed cell (PBE+U, the Materials Project).
Peak positions follow from Bragg's law for the DFT cell and can differ from measured ones.

The 10 most intense peaks (2θ = 5–70°), low angle first:
| 2θ/deg | I/Imax | index |
| --- | --- | --- |
| 11.51 | 20 | 0 1 0 |
| 26.00 | 21 | 1 1 1 |
| 32.96 | 100 | 1 2 -1 |
| 33.06 | 65 | 1 2 1 |
| 33.26 | 33 | 2 0 0 |
| 47.33 | 48 | 0 4 0 |
| 47.61 | 22 | 2 0 2 |
| 58.79 | 25 | 0 4 2 |
| 59.20 | 16 | 3 2 -1 |
| 59.35 | 15 | 3 2 1 |

Structure:
```
data_Ca3NdMn4O12
_chemical_formula_sum 'Ca3 Nd1 Mn4 O12'
_space_group_name_H-M_alt 'P 1 m 1'
_space_group_IT_number 6
_space_group_name_Hall 'P -2y'
_cell_length_a 5.387
_cell_length_b 7.690
_cell_length_c 5.442
_cell_angle_alpha 90.00
_cell_angle_beta 90.26
_cell_angle_gamma 90.00
loop_
_atom_site_label
_atom_site_type_symbol
_atom_site_fract_x
_atom_site_fract_y
_atom_site_fract_z
Ca1 Ca 0.000 0.000 0.000
Ca2 Ca 0.013 0.500 0.919
Ca3 Ca 0.513 0.000 0.503
Nd1 Nd 0.497 0.500 0.420
Mn1 Mn 0.005 0.246 0.462
Mn2 Mn 0.508 0.247 0.961
O1 O 0.081 0.000 0.437
O2 O 0.220 0.295 0.175
O3 O 0.298 0.287 0.672
O4 O 0.430 0.000 0.943
O5 O 0.581 0.500 0.973
O6 O 0.708 0.214 0.259
O7 O 0.801 0.211 0.755
O8 O 0.938 0.500 0.478
```

***

(2)
Simulated X-ray powder pattern of MgMn3CuO8 for Cu Kα X-rays, from a DFT-relaxed cell (PBE+U, the Materials Project).
Peak positions follow from Bragg's law for the DFT cell and can differ from measured ones.

The 10 most intense peaks (2θ = 5–70°), low angle first:
| 2θ/deg | I/Imax | index |
| --- | --- | --- |
| 18.17 | 44 | 0 0 1 |
| 18.34 | 100 | 1 1 0 |
| 34.88 | 27 | 3 1 0 |
| 35.58 | 16 | 1 1 -2 |
| 35.76 | 27 | 3 1 -2 |
| 35.87 | 19 | 2 2 -1 |
| 42.04 | 29 | 4 0 0 |
| 43.59 | 53 | 2 2 -2 |
| 61.95 | 20 | 2 2 2 |
| 62.37 | 19 | 6 2 -2 |

Structure:
```
data_MgMn3CuO8
_chemical_formula_sum 'Mg2 Mn6 Cu2 O16'
_space_group_name_H-M_alt 'C 1 m 1'
_space_group_IT_number 8
_space_group_name_Hall 'C -2y'
_cell_length_a 10.383
_cell_length_b 5.849
_cell_length_c 5.898
_cell_angle_alpha 90.00
_cell_angle_beta 124.11
_cell_angle_gamma 90.00
loop_
_atom_site_label
_atom_site_type_symbol
_atom_site_fract_x
_atom_site_fract_y
_atom_site_fract_z
Mg1 Mg 0.000 0.000 0.000
Mn1 Mn 0.114 0.500 0.863
Mn2 Mn 0.368 0.246 0.370
Cu1 Cu 0.115 0.500 0.370
O1 O 0.088 0.275 0.598
O2 O 0.138 0.272 0.131
O3 O 0.359 0.500 0.584
O4 O 0.363 0.000 0.578
O5 O 0.367 0.500 0.147
O6 O 0.377 0.000 0.163
```

***

(3)
Simulated X-ray powder pattern of Li2Mn3P5O18 for Cu Kα X-rays, from a DFT-relaxed cell (PBE+U, the Materials Project).
Peak positions follow from Bragg's law for the DFT cell and can differ from measured ones.

The 10 most intense peaks (2θ = 5–70°), low angle first:
| 2θ/deg | I/Imax | index |
| --- | --- | --- |
| 14.15 | 100 | 4 0 0 |
| 15.52 | 37 | 2 0 -2 |
| 18.57 | 11 | 1 1 0 |
| 21.13 | 47 | 3 1 0 |
| 25.73 | 17 | 3 1 2 |
| 29.01 | 31 | 2 0 -4 |
| 29.60 | 13 | 2 0 4 |
| 31.04 | 22 | 7 1 0 |
| 36.93 | 15 | 0 2 0 |
| 47.23 | 12 | 1 1 -6 |

Structure:
```
data_Li2Mn3P5O18
_chemical_formula_sum 'Li8 Mn12 P20 O72'
_space_group_name_H-M_alt 'C 1 2/c 1'
_space_group_IT_number 15
_space_group_name_Hall '-C 2yc'
_cell_length_a 25.037
_cell_length_b 4.868
_cell_length_c 12.581
_cell_angle_alpha 90.00
_cell_angle_beta 92.30
_cell_angle_gamma 90.00
loop_
_atom_site_label
_atom_site_type_symbol
_atom_site_fract_x
_atom_site_fract_y
_atom_site_fract_z
Li1 Li 0.156 0.145 0.365
Mn1 Mn 0.000 0.000 0.000
Mn2 Mn 0.198 0.472 0.620
P1 P 0.000 0.235 0.750
P2 P 0.068 0.498 0.588
P3 P 0.225 0.432 0.872
O1 O 0.031 0.083 0.836
O2 O 0.038 0.459 0.695
O3 O 0.044 0.321 0.497
O4 O 0.065 0.197 0.060
O5 O 0.125 0.398 0.619
O6 O 0.191 0.460 0.464
O7 O 0.192 0.457 0.274
O8 O 0.217 0.038 0.624
O9 O 0.227 0.109 0.874
```

***

(4)
Simulated X-ray powder pattern of Na6W7O21 for Cu Kα X-rays, from a DFT-relaxed cell (PBE+U, the Materials Project).
Peak positions follow from Bragg's law for the DFT cell and can differ from measured ones.

The 7 most intense peaks (2θ = 5–70°), low angle first:
| 2θ/deg | I/Imax | index |
| --- | --- | --- |
| 22.47 | 100 | 3 -1 1 |
| 31.99 | 90 | 4 1 0 |
| 39.45 | 12 | 0 0 3 |
| 45.87 | 30 | 6 -2 2 |
| 51.66 | 42 | 7 0 1 |
| 57.01 | 36 | 0 7 2 |
| 66.88 | 18 | 2 4 4 |

Structure:
```
data_Na6W7O21
_chemical_formula_sum 'Na18 W21 O63'
_space_group_name_H-M_alt 'R -3'
_space_group_IT_number 148
_space_group_name_Hall '-R 3'
_cell_length_a 14.8016
_cell_length_b 14.8016
_cell_length_c 6.8556
_cell_angle_alpha 90.00
_cell_angle_beta 90.00
_cell_angle_gamma 120.00
loop_
_atom_site_label
_atom_site_type_symbol
_atom_site_fract_x
_atom_site_fract_y
_atom_site_fract_z
Na1 Na 0.0474 0.8098 0.1671
W1 W 0.0000 0.0000 0.0000
W2 W 0.0480 0.8112 0.6662
O1 O 0.0000 0.5000 0.5000
O2 O 0.0240 0.4049 0.8337
O3 O 0.0239 0.9040 0.8373
O4 O 0.0728 0.2165 0.5008
```

***

(5)
Simulated X-ray powder pattern of MgAg6Mo10O33 for Cu Kα X-rays, from a DFT-relaxed cell (PBE+U, the Materials Project).
Peak positions follow from Bragg's law for the DFT cell and can differ from measured ones.

The 10 most intense peaks (2θ = 5–70°), low angle first:
| 2θ/deg | I/Imax | index |
| --- | --- | --- |
| 10.48 | 56 | 0 1 0 |
| 11.58 | 33 | 0 1 1 |
| 23.28 | 42 | 0 2 2 |
| 26.24 | 56 | 2 0 -1 |
| 27.00 | 68 | 2 1 -1 |
| 29.51 | 49 | 2 -1 1 |
| 29.84 | 100 | 0 2 -2 |
| 30.32 | 73 | 2 1 3 |
| 32.01 | 80 | 0 3 2 |
| 33.82 | 45 | 2 3 1 |

Structure:
```
data_MgAg6Mo10O33
_chemical_formula_sum 'Mg1 Ag6 Mo10 O33'
_space_group_name_H-M_alt 'P 1'
_space_group_IT_number 1
_space_group_name_Hall 'P 1'
_cell_length_a 7.751
_cell_length_b 9.028
_cell_length_c 11.407
_cell_angle_alpha 73.62
_cell_angle_beta 79.58
_cell_angle_gamma 74.72
loop_
_atom_site_label
_atom_site_type_symbol
_atom_site_fract_x
_atom_site_fract_y
_atom_site_fract_z
Mg1 Mg 0.000 0.000 0.000
Ag1 Ag 0.050 0.853 0.403
Ag2 Ag 0.281 0.383 0.408
Ag3 Ag 0.308 0.817 0.843
Ag4 Ag 0.381 0.987 0.492
Ag5 Ag 0.865 0.758 0.847
Ag6 Ag 0.959 0.404 0.911
Mo1 Mo 0.062 0.606 0.140
Mo2 Mo 0.160 0.181 0.190
Mo3 Mo 0.319 0.577 0.649
Mo4 Mo 0.426 0.393 0.985
Mo5 Mo 0.459 0.204 0.720
Mo6 Mo 0.558 0.622 0.125
Mo7 Mo 0.663 0.168 0.210
Mo8 Mo 0.741 0.581 0.611
Mo9 Mo 0.808 0.382 0.348
Mo10 Mo 0.919 0.176 0.682
O1 O 0.038 0.779 0.988
O2 O 0.045 0.714 0.246
O3 O 0.069 0.384 0.287
O4 O 0.109 0.045 0.635
O5 O 0.132 0.709 0.707
O6 O 0.159 0.082 0.074
O7 O 0.160 0.405 0.043
O8 O 0.193 0.045 0.341
O9 O 0.252 0.379 0.739
O10 O 0.271 0.586 0.502
O11 O 0.341 0.562 0.106
O12 O 0.367 0.046 0.812
O13 O 0.398 0.558 0.854
O14 O 0.420 0.216 0.164
O15 O 0.430 0.201 0.571
O16 O 0.460 0.748 0.218
O17 O 0.493 0.239 0.908
O18 O 0.497 0.714 0.602
O19 O 0.571 0.413 0.661
O20 O 0.586 0.386 0.289
O21 O 0.596 0.746 0.977
O22 O 0.628 0.040 0.354
O23 O 0.645 0.389 0.041
O24 O 0.717 0.086 0.719
O25 O 0.737 0.540 0.422
O26 O 0.776 0.575 0.762
O27 O 0.777 0.042 0.113
O28 O 0.811 0.563 0.162
O29 O 0.840 0.222 0.479
O30 O 0.857 0.725 0.523
O31 O 0.885 0.220 0.227
O32 O 0.938 0.384 0.609
O33 O 0.951 0.162 0.839
```

***

(6)
Simulated X-ray powder pattern of Be2CoN2F14 for Cu Kα X-rays, from a DFT-relaxed cell (PBE+U, the Materials Project).
Peak positions follow from Bragg's law for the DFT cell and can differ from measured ones.

The 10 most intense peaks (2θ = 5–70°), low angle first:
| 2θ/deg | I/Imax | index |
| --- | --- | --- |
| 13.22 | 100 | 0 2 0 |
| 17.71 | 82 | 1 1 -1 |
| 21.55 | 36 | 1 2 0 |
| 22.79 | 48 | 1 0 -2 |
| 23.00 | 82 | 0 3 1 |
| 24.86 | 52 | 1 1 1 |
| 29.05 | 31 | 0 4 1 |
| 35.30 | 15 | 1 4 -2 |
| 35.51 | 17 | 0 1 3 |
| 39.47 | 16 | 1 3 2 |

Structure:
```
data_Be2CoN2F14
_chemical_formula_sum 'Be4 Co2 N4 F28'
_space_group_name_H-M_alt 'P 1 21/c 1'
_space_group_IT_number 14
_space_group_name_Hall '-P 2ybc'
_cell_length_a 5.665
_cell_length_b 13.405
_cell_length_c 8.359
_cell_angle_alpha 90.00
_cell_angle_beta 112.59
_cell_angle_gamma 90.00
loop_
_atom_site_label
_atom_site_type_symbol
_atom_site_fract_x
_atom_site_fract_y
_atom_site_fract_z
Be1 Be 0.007 0.085 0.161
Co1 Co 0.500 0.000 0.500
N1 N 0.116 0.143 0.839
F1 F 0.039 0.712 0.767
F2 F 0.067 0.620 0.538
F3 F 0.219 0.556 0.989
F4 F 0.228 0.570 0.319
F5 F 0.279 0.081 0.268
F6 F 0.308 0.196 0.950
F7 F 0.451 0.102 0.624
```

***

(7)
Simulated X-ray powder pattern of Mn13Si2Sb2O28 for Cu Kα X-rays, from a DFT-relaxed cell (PBE+U, the Materials Project).
Peak positions follow from Bragg's law for the DFT cell and can differ from measured ones.

The 10 most intense peaks (2θ = 5–70°), low angle first:
| 2θ/deg | I/Imax | index |
| --- | --- | --- |
| 10.19 | 60 | 0 0 1 |
| 15.53 | 38 | 0 4 0 |
| 20.46 | 56 | 0 0 2 |
| 30.89 | 96 | 0 0 3 |
| 31.93 | 100 | 1 7 0 |
| 32.31 | 46 | 2 0 -1 |
| 34.58 | 75 | 1 7 1 |
| 36.42 | 41 | 1 7 -2 |
| 47.30 | 53 | 1 7 3 |
| 56.95 | 57 | 3 7 -1 |

Structure:
```
data_Mn13Si2Sb2O28
_chemical_formula_sum 'Mn26 Si4 Sb4 O56'
_space_group_name_H-M_alt 'C 1 m 1'
_space_group_IT_number 8
_space_group_name_Hall 'C -2y'
_cell_length_a 5.587
_cell_length_b 22.820
_cell_length_c 8.846
_cell_angle_alpha 90.00
_cell_angle_beta 100.99
_cell_angle_gamma 90.00
loop_
_atom_site_label
_atom_site_type_symbol
_atom_site_fract_x
_atom_site_fract_y
_atom_site_fract_z
Mn1 Mn 0.000 0.000 0.000
Mn2 Mn 0.001 0.286 0.999
Mn3 Mn 0.003 0.426 0.002
Mn4 Mn 0.201 0.158 0.631
Mn5 Mn 0.221 0.425 0.646
Mn6 Mn 0.278 0.074 0.354
Mn7 Mn 0.303 0.341 0.366
Si1 Si 0.230 0.000 0.683
Si2 Si 0.268 0.500 0.318
Sb1 Sb 0.002 0.146 0.000
O1 O 0.065 0.000 0.349
O2 O 0.096 0.287 0.360
O3 O 0.148 0.150 0.407
O4 O 0.156 0.440 0.387
O5 O 0.184 0.500 0.127
O6 O 0.199 0.079 0.114
O7 O 0.210 0.211 0.099
O8 O 0.243 0.356 0.137
O9 O 0.262 0.145 0.863
O10 O 0.284 0.290 0.898
O11 O 0.303 0.420 0.884
O12 O 0.314 0.000 0.873
O13 O 0.341 0.060 0.616
O14 O 0.360 0.350 0.591
O15 O 0.396 0.215 0.640
O16 O 0.433 0.500 0.650
```

***

(8)
Simulated X-ray powder pattern of Li2V2SnP3O12 for Cu Kα X-rays, from a DFT-relaxed cell (PBE+U, the Materials Project).
Peak positions follow from Bragg's law for the DFT cell and can differ from measured ones.

The 10 most intense peaks (2θ = 5–70°), low angle first:
| 2θ/deg | I/Imax | index |
| --- | --- | --- |
| 20.02 | 100 | 0 2 0 |
| 23.00 | 26 | 3 1 0 |
| 23.14 | 31 | 0 2 1 |
| 23.30 | 30 | 3 1 -2 |
| 30.52 | 47 | 3 1 1 |
| 30.75 | 37 | 0 2 2 |
| 30.99 | 40 | 3 1 -3 |
| 35.04 | 49 | 6 0 -2 |
| 47.27 | 23 | 0 4 2 |
| 54.75 | 30 | 3 5 -1 |

Structure:
```
data_Li2V2SnP3O12
_chemical_formula_sum 'Li8 V8 Sn4 P12 O48'
_space_group_name_H-M_alt 'C 1 2 1'
_space_group_IT_number 5
_space_group_name_Hall 'C 2y'
_cell_length_a 15.361
_cell_length_b 8.873
_cell_length_c 9.175
_cell_angle_alpha 90.00
_cell_angle_beta 122.94
_cell_angle_gamma 90.00
loop_
_atom_site_label
_atom_site_type_symbol
_atom_site_fract_x
_atom_site_fract_y
_atom_site_fract_z
Li1 Li 0.000 0.000 0.000
Li2 Li 0.000 0.300 0.500
Li3 Li 0.205 0.687 0.498
V1 V 0.097 0.892 0.795
V2 V 0.098 0.395 0.301
Sn1 Sn 0.245 0.886 0.203
P1 P 0.000 0.604 0.500
P2 P 0.000 0.685 0.000
P3 P 0.142 0.037 0.490
P4 P 0.144 0.248 0.999
O1 O 0.054 0.310 0.828
O2 O 0.054 0.969 0.316
O3 O 0.064 0.596 0.169
O4 O 0.069 0.696 0.665
O5 O 0.075 0.497 0.483
O6 O 0.079 0.798 0.994
O7 O 0.132 0.012 0.645
O8 O 0.145 0.068 0.989
O9 O 0.145 0.278 0.164
O10 O 0.149 0.213 0.476
O11 O 0.245 0.972 0.521
O12 O 0.246 0.311 0.020
```